Entry 1:
For Y6Al2Cu, a structure optimized by DFT (GGA-PBE) gives the simulated XRD peak list in this record (Cu Ka).
Kinematic intensities with the Lorentz-polarization factor, no thermal factor.

Structural model:
Cell: 9.739 9.739 4.987 Å, 90.00 90.00 90.00°
Positions (direct):
Y: 0.029 0.307 0.000
Y: 0.118 0.882 0.500
Y: 0.193 0.529 0.500
Y: 0.307 0.029 0.000
Y: 0.382 0.382 0.000
Y: 0.471 0.807 0.500
Y: 0.529 0.193 0.500
Y: 0.618 0.618 0.000
Y: 0.693 0.971 0.000
Y: 0.807 0.471 0.500
Y: 0.882 0.118 0.500
Y: 0.971 0.693 0.000
Al: 0.207 0.207 0.500
Al: 0.293 0.707 0.000
Al: 0.707 0.293 0.000
Al: 0.793 0.793 0.500
Cu: 0.000 0.000 0.000
Cu: 0.500 0.500 0.500

Top 12 peaks for 15 to 90 degrees two-theta, by angle:
- 22.0 deg, intensity 8.7
- 27.2 deg, intensity 17.9
- 32.9 deg, intensity 100.0
- 33.2 deg, intensity 22.4
- 34.2 deg, intensity 26.6
- 36.0 deg, intensity 30.5
- 39.2 deg, intensity 20.5
- 42.3 deg, intensity 10.4
- 49.8 deg, intensity 13.8
- 54.3 deg, intensity 15.4
- 62.8 deg, intensity 14.6
- 63.2 deg, intensity 13.3



Entry 2:
For Pr2Nd3Si2, a structure optimized by DFT (GGA-PBE) gives the simulated XRD peak list in this record (Cu Ka).
Kinematic intensities with the Lorentz-polarization factor, no thermal factor.

Structural model:
Cell: 6.426 6.426 8.590 Å, 109.81 109.81 39.02°
Positions (direct):
Pr: 0.152 0.152 0.310
Pr: 0.848 0.848 0.690
Nd: 0.369 0.369 0.057
Nd: 0.500 0.500 0.500
Nd: 0.631 0.631 0.943
Si: 0.171 0.171 0.705
Si: 0.829 0.829 0.295

Top 12 peaks for 15 to 90 degrees two-theta, by angle:
- 26.1 deg, intensity 47.9
- 29.4 deg, intensity 79.6
- 30.5 deg, intensity 100.0
- 31.5 deg, intensity 51.0
- 31.7 deg, intensity 71.9
- 33.5 deg, intensity 32.7
- 33.6 deg, intensity 40.8
- 42.1 deg, intensity 33.3
- 50.4 deg, intensity 22.4
- 53.5 deg, intensity 48.7
- 53.6 deg, intensity 41.9
- 57.5 deg, intensity 29.0



Entry 3:
For Pm2PrDy2Y6, a structure optimized by DFT (GGA-PBE) gives the simulated XRD peak list in this record (Cu Ka).
Kinematic intensities with the Lorentz-polarization factor, no thermal factor.

Structural model:
Cell: 6.682 6.682 10.674 Å, 90.02 90.02 129.22°
Positions (direct):
Pm: 0.135 0.865 0.000
Pm: 0.865 0.135 0.000
Pr: 0.500 0.500 0.500
Dy: 0.204 0.796 0.500
Dy: 0.796 0.204 0.500
Y: 0.000 0.000 0.290
Y: 0.000 0.000 0.710
Y: 0.346 0.653 0.792
Y: 0.347 0.654 0.208
Y: 0.653 0.346 0.792
Y: 0.654 0.347 0.208

Top 12 peaks for 15 to 90 degrees two-theta, by angle:
- 16.6 deg, intensity 7.4
- 30.5 deg, intensity 25.1
- 30.8 deg, intensity 20.6
- 31.2 deg, intensity 37.5
- 31.9 deg, intensity 100.0
- 33.6 deg, intensity 19.6
- 44.4 deg, intensity 15.0
- 46.5 deg, intensity 15.7
- 52.5 deg, intensity 9.9
- 56.0 deg, intensity 19.9
- 61.9 deg, intensity 13.8
- 62.4 deg, intensity 11.7



Entry 4:
For InBi2Au3, a structure optimized by DFT (GGA-PBE) gives the simulated XRD peak list in this record (Cu Ka).
Kinematic intensities with the Lorentz-polarization factor, no thermal factor.

Structural model:
Cell: 7.926 7.926 5.624 Å, 90.00 90.00 59.46°
Positions (direct):
In: 0.176 0.824 0.500
In: 0.824 0.176 0.000
Bi: 0.167 0.493 0.001
Bi: 0.493 0.167 0.501
Bi: 0.507 0.833 0.001
Bi: 0.833 0.507 0.501
Au: 0.154 0.155 0.251
Au: 0.155 0.154 0.751
Au: 0.499 0.501 0.751
Au: 0.501 0.499 0.251
Au: 0.845 0.846 0.251
Au: 0.846 0.845 0.751

Top 12 peaks for 15 to 90 degrees two-theta, by angle:
- 22.4 deg, intensity 20.1
- 27.5 deg, intensity 51.7
- 27.7 deg, intensity 26.1
- 39.3 deg, intensity 100.0
- 39.4 deg, intensity 35.5
- 39.6 deg, intensity 59.3
- 54.1 deg, intensity 12.3
- 56.8 deg, intensity 22.2
- 57.2 deg, intensity 12.6
- 71.2 deg, intensity 13.1
- 71.6 deg, intensity 11.9
- 80.3 deg, intensity 16.0